[1]
Theoretical powder XRD pattern of Mn4P2O9 for Cu Ka, from a GGA+U-relaxed structure.

a = 6.7752 Å, b = 11.7062 Å, c = 9.6533 Å
α = 90.00°, β = 103.81°, γ = 90.00°
Space group P2_1/c (No. 14)
Inequivalent atoms, fractional coordinates:
Mn  0.0316  0.1319  0.3205
Mn  0.2638  0.1192  0.7474
Mn  0.3146  0.6033  0.4663
Mn  0.4571  0.5999  0.1190
P  0.2055  0.1714  0.0746
P  0.2608  0.6298  0.8153
O  0.0082  0.1095  0.0817
O  0.0437  0.6690  0.7440
O  0.1735  0.2048  0.5162
O  0.2528  0.5581  0.2348
O  0.2695  0.5101  0.8937
O  0.3192  0.1912  0.2358
O  0.3348  0.0975  0.9935
O  0.3600  0.7128  0.9398
O  0.3919  0.6201  0.7036

Peak list (10 most intense, 2θ from 10° to 90°, low angle first)
(hkl)  d (Å)  I (rel.)
1 0 -2  4.338  14
2 1 0  3.167  17
0 1 3  3.019  40
2 1 -2  2.958  50
0 4 0  2.924  100
0 2 3  2.757  43
2 2 1  2.595  19
1 2 3  2.372  14
1 1 -5  1.903  19
0 5 3  1.873  18

***

[2]
Theoretical powder XRD pattern of KCr2FeHO8 for Cu Ka, from a GGA+U-relaxed structure.

a = 7.8538 Å, b = 5.5400 Å, c = 9.4863 Å
α = 90.00°, β = 101.28°, γ = 90.00°
Space group P2_1/m (No. 11)
Inequivalent atoms, fractional coordinates:
K  0.0736  0.2500  0.2163
Cr  0.1599  0.2500  0.6445
Cr  0.3433  0.7500  0.1262
Fe  0.4134  0.7500  0.7703
H  0.3952  0.7500  0.5929
O  0.0503  0.7500  0.3805
O  0.1346  0.7500  0.0690
O  0.2239  0.2500  0.4937
O  0.2345  0.5061  0.7410
O  0.3996  0.0029  0.2256
O  0.4415  0.7500  0.9861

Peak list (10 most intense, 2θ from 10° to 90°, low angle first)
(hkl)  d (Å)  I (rel.)
1 0 -1  6.601  63
0 0 2  4.652  66
1 0 -2  4.379  58
1 1 -1  4.243  20
1 1 1  3.879  78
2 1 0  3.161  100
2 1 -2  2.835  32
0 2 0  2.770  45
0 1 3  2.706  59
2 2 -5  1.521  23

***

[3]
Theoretical powder XRD pattern of Na2CoSiO4 for Cu Ka, from a GGA+U-relaxed structure.

a = 6.3006 Å, b = 6.1292 Å, c = 5.3817 Å
α = 90.00°, β = 90.00°, γ = 90.00°
Space group Pmn2_1 (No. 31)
Inequivalent atoms, fractional coordinates:
Na  0.2481  0.1688  0.0000
Co  0.0000  0.3570  0.5074
Si  0.0000  0.6572  0.0093
O  0.0000  0.4166  0.8715
O  0.0000  0.6270  0.3134
O  0.2179  0.7976  0.9323

Peak list (10 most intense, 2θ from 10° to 90°, low angle first)
(hkl)  d (Å)  I (rel.)
0 1 0  6.129  66
0 1 1  4.044  53
2 1 0  2.802  100
0 0 2  2.691  83
0 2 1  2.663  69
2 1 1  2.485  78
2 1 2  1.941  33
2 3 0  1.714  44
2 1 3  1.511  33
2 3 2  1.446  34

***

[4]
Theoretical powder XRD pattern of Li6Ni5O10 for Cu Ka, from a GGA+U-relaxed structure.

a = 5.1738 Å, b = 5.6360 Å, c = 7.7451 Å
α = 70.79°, β = 70.80°, γ = 66.91°
Space group P-1 (No. 2)
Inequivalent atoms, fractional coordinates:
Li  0.1635  0.1053  0.4552
Li  0.2772  0.9264  0.7541
Li  0.2809  0.0755  0.0938
Ni  0.0972  0.4958  0.8027
Ni  0.3084  0.5124  0.3954
Ni  0.5000  0.5000  0.0000
O  0.0805  0.7037  0.9598
O  0.1148  0.2928  0.6418
O  0.2566  0.7319  0.5795
O  0.3300  0.2856  0.2243
O  0.4955  0.7141  0.1477

Peak list (10 most intense, 2θ from 10° to 90°, low angle first)
(hkl)  d (Å)  I (rel.)
0 1 0  5.045  100
2 1 1  2.580  9
1 0 -2  2.553  7
1 1 3  2.532  8
2 0 1  2.368  23
1 1 -2  2.287  20
1 2 3  2.192  21
2 -1 1  1.873  13
1 2 -2  1.804  11
1 3 3  1.718  8

***

[5]
Theoretical powder XRD pattern of Li9Mn2Co5O16 for Cu Ka, from a GGA+U-relaxed structure.

a = 9.9444 Å, b = 2.9692 Å, c = 10.0565 Å
α = 90.00°, β = 101.29°, γ = 90.00°
Space group Pm (No. 6)
Inequivalent atoms, fractional coordinates:
Li  0.0000  0.0000  0.0000
Li  0.0003  0.0000  0.4868
Li  0.0038  0.5000  0.2524
Li  0.0068  0.5000  0.7411
Li  0.5279  0.5000  0.5153
Li  0.5317  0.0000  0.7478
Li  0.5348  0.5000  0.0026
Li  0.5393  0.0000  0.2642
Li  0.7728  0.5000  0.3751
Mn  0.2643  0.0000  0.8711
Mn  0.2684  0.5000  0.1282
Co  0.2653  0.5000  0.6112
Co  0.2718  0.0000  0.3822
Co  0.7642  0.0000  0.1396
Co  0.7648  0.5000  0.8787
Co  0.7704  0.0000  0.6176
O  0.1486  0.5000  0.4419
O  0.1563  0.0000  0.6974
O  0.1585  0.0000  0.1743
O  0.1593  0.5000  0.9363
O  0.3703  0.0000  0.0609
O  0.3721  0.5000  0.8224
O  0.3808  0.5000  0.3013
O  0.3902  0.0000  0.5747
O  0.6458  0.5000  0.1865
O  0.6490  0.0000  0.9407
O  0.6530  0.0000  0.4630
O  0.6556  0.5000  0.6980
O  0.8786  0.0000  0.7988
O  0.8837  0.5000  0.5660
O  0.8846  0.5000  0.0481
O  0.8899  0.0000  0.2965

Peak list (10 most intense, 2θ from 10° to 90°, low angle first)
(hkl)  d (Å)  I (rel.)
2 0 0  4.876  100
1 1 -2  2.524  30
0 0 4  2.465  11
1 1 2  2.401  11
3 1 -2  2.109  57
2 0 4  2.045  24
3 1 2  1.912  9
5 1 -2  1.629  10
5 1 2  1.477  15
1 1 -6  1.459  13

***

[6]
Theoretical powder XRD pattern of Cr2Ag2O7 for Cu Ka, from a GGA+U-relaxed structure.

a = 6.8651 Å, b = 7.3359 Å, c = 7.3961 Å
α = 117.51°, β = 90.23°, γ = 95.87°
Space group P-1 (No. 2)
Inequivalent atoms, fractional coordinates:
Cr  0.1470  0.1769  0.3030
Cr  0.3379  0.5016  0.7440
Ag  0.1712  0.6601  0.2547
Ag  0.3757  0.0469  0.8117
O  0.0756  0.8515  0.6193
O  0.1403  0.1817  0.0850
O  0.1396  0.4722  0.8570
O  0.2639  0.4255  0.4865
O  0.2784  0.9972  0.2960
O  0.4296  0.7465  0.8525
O  0.4952  0.3480  0.7547

Peak list (10 most intense, 2θ from 10° to 90°, low angle first)
(hkl)  d (Å)  I (rel.)
0 2 -1  3.647  27
1 -2 1  3.359  100
0 0 2  3.274  92
1 -1 2  3.249  21
2 0 -1  3.098  89
2 0 1  2.954  52
1 2 0  2.794  78
-1 2 1  2.416  31
0 3 -2  2.378  21
3 2 -1  1.847  19

***

[7]
Theoretical powder XRD pattern of MgV3CoO8 for Cu Ka, from a GGA+U-relaxed structure.

a = 5.3706 Å, b = 5.5675 Å, c = 6.9600 Å
α = 92.07°, β = 91.24°, γ = 91.21°
Space group P1 (No. 1)
Inequivalent atoms, fractional coordinates:
Mg  0.0000  0.0000  0.0000
V  0.0320  0.4929  0.2558
V  0.4899  0.8480  0.7498
V  0.9800  0.0040  0.4914
Co  0.5170  0.3522  0.0089
O  0.3256  0.9183  0.5452
O  0.3519  0.4677  0.2310
O  0.3641  0.0230  0.9409
O  0.4387  0.5552  0.7971
O  0.8233  0.9161  0.7396
O  0.8729  0.3238  0.0550
O  0.9331  0.3281  0.4634
O  0.9506  0.8244  0.2441

Peak list (10 most intense, 2θ from 10° to 90°, low angle first)
(hkl)  d (Å)  I (rel.)
0 1 -1  4.423  100
1 0 -1  4.296  93
0 1 1  4.268  63
1 0 1  4.204  94
0 1 -2  2.998  37
0 1 2  2.901  30
0 2 0  2.781  51
2 0 0  2.684  69
1 -1 2  2.611  26
1 1 2  2.521  29

***

[8]
Theoretical powder XRD pattern of K5Mn3O6 for Cu Ka, from a GGA+U-relaxed structure.

a = 17.0167 Å, b = 9.8715 Å, c = 6.2267 Å
α = 90.00°, β = 90.00°, γ = 90.00°
Space group Pna2_1 (No. 33)
Inequivalent atoms, fractional coordinates:
K  0.0032  0.0889  0.0000
K  0.0876  0.5808  0.3944
K  0.1126  0.3891  0.9086
K  0.1846  0.8853  0.2699
K  0.2135  0.0564  0.8036
Mn  0.0810  0.7251  0.8883
Mn  0.0868  0.2497  0.4108
Mn  0.2503  0.2277  0.3222
O  0.0027  0.3506  0.2213
O  0.0101  0.8004  0.1068
O  0.1480  0.8081  0.6714
O  0.1517  0.1422  0.1810
O  0.1686  0.6436  0.0411
O  0.1830  0.3576  0.5195

Peak list (10 most intense, 2θ from 10° to 90°, low angle first)
(hkl)  d (Å)  I (rel.)
0 1 1  5.267  51
0 2 0  4.936  32
5 1 0  3.217  30
0 0 2  3.113  26
2 0 2  2.924  25
0 3 1  2.909  100
3 1 2  2.631  30
5 2 1  2.555  33
6 1 1  2.497  24
6 0 2  2.097  30

***

[9]
Theoretical powder XRD pattern of La2ZnWO6 for Cu Ka, from a GGA+U-relaxed structure.

a = 5.8132 Å, b = 5.8132 Å, c = 13.6688 Å
α = 90.00°, β = 90.00°, γ = 120.00°
Space group R-3 (No. 148, hexagonal axes)
Inequivalent atoms, fractional coordinates:
La  0.0000  0.0000  0.2503
Zn  0.0000  0.0000  0.0000
W  0.0000  0.0000  0.5000
O  0.0054  0.5962  0.2491

Peak list (10 most intense, 2θ from 10° to 90°, low angle first)
(hkl)  d (Å)  I (rel.)
1 0 1  4.724  17
1 1 0  2.907  99
1 0 4  2.827  100
0 2 4  2.027  51
3 0 0  1.678  27
2 1 4  1.662  44
0 1 8  1.618  19
2 0 8  1.414  15
1 3 4  1.293  17
3 -2 8  1.271  18

***

What did the seventh record say?
Theoretical powder XRD pattern of MgV3CoO8 for Cu Ka, from a GGA+U-relaxed structure.

a = 5.3706 Å, b = 5.5675 Å, c = 6.9600 Å
α = 92.07°, β = 91.24°, γ = 91.21°
Space group P1 (No. 1)
Inequivalent atoms, fractional coordinates:
Mg  0.0000  0.0000  0.0000
V  0.0320  0.4929  0.2558
V  0.4899  0.8480  0.7498
V  0.9800  0.0040  0.4914
Co  0.5170  0.3522  0.0089
O  0.3256  0.9183  0.5452
O  0.3519  0.4677  0.2310
O  0.3641  0.0230  0.9409
O  0.4387  0.5552  0.7971
O  0.8233  0.9161  0.7396
O  0.8729  0.3238  0.0550
O  0.9331  0.3281  0.4634
O  0.9506  0.8244  0.2441

Peak list (10 most intense, 2θ from 10° to 90°, low angle first)
(hkl)  d (Å)  I (rel.)
0 1 -1  4.423  100
1 0 -1  4.296  93
0 1 1  4.268  63
1 0 1  4.204  94
0 1 -2  2.998  37
0 1 2  2.901  30
0 2 0  2.781  51
2 0 0  2.684  69
1 -1 2  2.611  26
1 1 2  2.521  29